The following is a calculated powder X-ray diffraction pattern of LaErCoRu. It was derived from a DFT-relaxed cell (GGA-PBE, Alexandria), using Cu Ka.

Structural model:
a b c (Å): 4.861 4.861 4.861
angles (deg): 60.00 60.00 60.00
Sites, in units of the cell vectors:
La: 0.000 0.000 0.000
Er: 0.500 0.500 0.500
Co: 0.750 0.750 0.750
Ru: 0.250 0.250 0.250

Main lines, in order of rising 2θ (2θ from 10° to 80°):
2θ 22.40, rel. 27; 2θ 25.92, rel. 105; 2θ 36.99, rel. 1000; 2θ 43.67, rel. 15; 2θ 45.72, rel. 32; 2θ 53.31, rel. 173; 2θ 58.53, rel. 7; 2θ 60.20, rel. 45; 2θ 66.65, rel. 348; 2θ 78.75, rel. 108